Entry 1:
Starting from the GGA-PBE geometry in the Materials Project, the XRD peak list of Ca3MgSi2O8 was calculated for CuKα.
No peak broadening, texture or thermal motion is included.

a b c (Å): 9.9678 5.2693 13.6701
angles (deg): 90.00 97.72 90.00
Space group P2_1/c (No. 14)
One atom of each set of equivalent atoms:
Ca (0.0242, 0.2311, 0.3785) x4
Ca (0.2388, 0.7474, 0.9778) x4
Ca (0.4288, 0.2410, 0.5954) x4
Mg (0.3282, 0.7332, 0.7117) x4
Si (0.1243, 0.2299, 0.6402) x4
Si (0.3899, 0.2117, 0.8622) x4
O (0.0106, 0.7278, 0.9454) x4
O (0.0723, 0.1185, 0.7387) x4
O (0.1890, 0.5161, 0.6322) x4
O (0.2407, 0.0171, 0.6180) x4
O (0.2790, 0.1755, 0.4296) x4
O (0.3530, 0.5927, 0.3425) x4
O (0.4192, 0.1082, 0.2688) x4
O (0.4571, 0.7086, 0.5682) x4

Principal peaks in the range 10 to 90 degrees two-theta, most intense first:
- 32.05°, intensity 100
- 34.03°, intensity 88
- 33.71°, intensity 58
- 45.93°, intensity 50
- 40.53°, intensity 42
- 29.92°, intensity 40
- 26.32°, intensity 39
- 43.45°, intensity 33
- 31.70°, intensity 33
- 33.29°, intensity 30

Entry 2:
Starting from the GGA-PBE geometry in the Materials Project, the XRD peak list of Ca3Mg5Si8O24 was calculated for CuKα.
No peak broadening, texture or thermal motion is included.

a b c (Å): 5.3141 6.6859 13.2807
angles (deg): 90.46 100.66 102.38
Space group P1 (No. 1)
One atom of each set of equivalent atoms:
Ca (0.0000, 0.0000, 0.0000) x1
Ca (0.2019, 0.3968, 0.7024) x1
Ca (0.4994, 0.9946, 0.5010) x1
Mg (0.3028, 0.6033, 0.3014) x1
Mg (0.3944, 0.7890, 0.8982) x1
Mg (0.7194, 0.4403, 0.2197) x1
Mg (0.8034, 0.6046, 0.8065) x1
Mg (0.8982, 0.7921, 0.3961) x1
Si (0.0444, 0.4968, 0.0432) x1
Si (0.1393, 0.8891, 0.6605) x1
Si (0.2485, 0.0800, 0.2509) x1
Si (0.4592, 0.3169, 0.9493) x1
Si (0.5569, 0.5047, 0.5388) x1
Si (0.6500, 0.8930, 0.1586) x1
Si (0.7330, 0.0764, 0.7536) x1
Si (0.9613, 0.3140, 0.4457) x1
O (0.0497, 0.5656, 0.1610) x1
O (0.0577, 0.6692, 0.9575) x1
O (0.1118, 0.8069, 0.5438) x1
O (0.1390, 0.7242, 0.7491) x1
O (0.2344, 0.9075, 0.3369) x1
O (0.2648, 0.3313, 0.5143) x1
O (0.2777, 0.3641, 0.0362) x1
O (0.3291, 0.0856, 0.9061) x1
O (0.3950, 0.3156, 0.2847) x1
O (0.4134, 0.0190, 0.1636) x1
O (0.4314, 0.0631, 0.6821) x1
O (0.4687, 0.4937, 0.8657) x1
O (0.5576, 0.6688, 0.4493) x1
O (0.5849, 0.5842, 0.6551) x1
O (0.6217, 0.8125, 0.0427) x1
O (0.6404, 0.7200, 0.2452) x1
O (0.7265, 0.8995, 0.8359) x1
O (0.7608, 0.3210, 0.0153) x1
O (0.7800, 0.3629, 0.5312) x1
O (0.8338, 0.0805, 0.4073) x1
O (0.8621, 0.3097, 0.7933) x1
O (0.9155, 0.0313, 0.6662) x1
O (0.9414, 0.0640, 0.1851) x1
O (0.9682, 0.4872, 0.3601) x1

Principal peaks in the range 10 to 90 degrees two-theta, most intense first:
- 29.44°, intensity 100
- 35.29°, intensity 40
- 55.88°, intensity 38
- 35.55°, intensity 37
- 30.37°, intensity 36
- 30.03°, intensity 35
- 27.36°, intensity 29
- 34.61°, intensity 29
- 65.27°, intensity 25
- 41.81°, intensity 22